# 1
Structure and theoretical powder X-ray diffraction pattern of Th3InRu (DFT lattice parameters and positions (PBE); Cu Kα (λ = 1.5418 Å)).
Kinematic intensities with the Lorentz-polarization factor, no thermal factor.

Unit cell a=5.9846 b=7.1774 c=7.1818 alpha=90.00 beta=112.90 gamma=90.00
Element x y z (fractional)
Th  0.0142  0.2500  0.3376
Th  0.4418  0.5179  0.2144
Th  0.4418  0.9821  0.2144
Th  0.5582  0.0179  0.7856
Th  0.5582  0.4821  0.7856
Th  0.9858  0.7500  0.6624
In  0.0876  0.2500  0.8363
In  0.9124  0.7500  0.1637
Ru  0.3503  0.7500  0.5015
Ru  0.6497  0.2500  0.4985

Top 8 peaks for 2θ = 10–90°, by intensity:
- 2θ 29.71, I 100
- 2θ 35.84, I 56
- 2θ 33.24, I 35
- 2θ 32.47, I 28
- 2θ 26.95, I 24
- 2θ 28.31, I 19
- 2θ 52.79, I 18
- 2θ 50.89, I 15



# 2
Structure and theoretical powder X-ray diffraction pattern of CaH (DFT lattice parameters and positions (PBE); Cu Kα (λ = 1.5418 Å)).
Kinematic intensities with the Lorentz-polarization factor, no thermal factor.

Unit cell a=3.8052 b=3.8052 c=5.6992 alpha=90.00 beta=90.00 gamma=90.00
Element x y z (fractional)
Ca  0.2500  0.2500  0.2232
Ca  0.7500  0.7500  0.7768
H  0.2500  0.7500  0.0000
H  0.7500  0.2500  0.0000

Top 8 peaks for 2θ = 10–90°, by intensity:
- 2θ 28.20, I 100
- 2θ 33.30, I 30
- 2θ 56.43, I 24
- 2θ 46.41, I 22
- 2θ 31.39, I 16
- 2θ 47.81, I 12
- 2θ 53.95, I 11
- 2θ 58.31, I 9



# 3
Structure and theoretical powder X-ray diffraction pattern of Li2PrTmGe2 (DFT lattice parameters and positions (PBE); Cu Kα (λ = 1.5418 Å)).
Kinematic intensities with the Lorentz-polarization factor, no thermal factor.

Unit cell a=4.4488 b=4.4488 c=7.3295 alpha=90.00 beta=90.00 gamma=120.00
Element x y z (fractional)
Li  0.3333  0.6667  0.2085
Li  0.6667  0.3333  0.7915
Pr  0.0000  0.0000  0.5000
Tm  0.0000  0.0000  0.0000
Ge  0.3333  0.6667  0.7676
Ge  0.6667  0.3333  0.2324

Top 8 peaks for 2θ = 10–90°, by intensity:
- 2θ 33.76, I 100
- 2θ 23.09, I 45
- 2θ 40.56, I 44
- 2θ 53.76, I 27
- 2θ 69.45, I 25
- 2θ 26.13, I 19
- 2θ 66.06, I 19
- 2θ 55.53, I 10



# 4
Structure and theoretical powder X-ray diffraction pattern of PaCoP2Rh2 (DFT lattice parameters and positions (PBE); Cu Kα (λ = 1.5418 Å)).
Kinematic intensities with the Lorentz-polarization factor, no thermal factor.

Unit cell a=3.8405 b=3.8405 c=13.7260 alpha=90.00 beta=90.00 gamma=90.00
Element x y z (fractional)
Pa  0.0000  0.0000  0.0000
Pa  0.5000  0.5000  0.5000
Co  0.0000  0.0000  0.5000
Co  0.5000  0.5000  0.0000
P  0.0000  0.0000  0.3472
P  0.0000  0.0000  0.6528
P  0.5000  0.5000  0.1528
P  0.5000  0.5000  0.8472
Rh  0.0000  0.5000  0.2500
Rh  0.0000  0.5000  0.7500
Rh  0.5000  0.0000  0.2500
Rh  0.5000  0.0000  0.7500

Top 8 peaks for 2θ = 10–90°, by intensity:
- 2θ 35.55, I 100
- 2θ 25.97, I 50
- 2θ 52.29, I 44
- 2θ 30.39, I 33
- 2θ 47.34, I 30
- 2θ 54.78, I 26
- 2θ 80.28, I 19
- 2θ 24.06, I 18



# 5
Structure and theoretical powder X-ray diffraction pattern of SmZn4Pt6 (DFT lattice parameters and positions (PBE); Cu Kα (λ = 1.5418 Å)).
Kinematic intensities with the Lorentz-polarization factor, no thermal factor.

Unit cell a=6.6453 b=6.6453 c=6.6453 alpha=123.02 beta=123.02 gamma=84.84
Element x y z (fractional)
Sm  0.0000  0.0000  0.0000
Zn  0.2424  0.5618  0.0000
Zn  0.4382  0.4382  0.6806
Zn  0.5618  0.2424  0.0000
Zn  0.7576  0.7576  0.3194
Pt  0.0000  0.5000  0.5000
Pt  0.1042  0.1042  0.5580
Pt  0.4538  0.8958  0.0000
Pt  0.5000  0.0000  0.5000
Pt  0.5462  0.5462  0.4420
Pt  0.8958  0.4538  0.0000

Top 8 peaks for 2θ = 10–90°, by intensity:
- 2θ 33.66, I 100
- 2θ 40.23, I 58
- 2θ 41.99, I 52
- 2θ 26.94, I 45
- 2θ 46.83, I 35
- 2θ 49.09, I 31
- 2θ 68.95, I 23
- 2θ 32.88, I 21



# 6
Structure and theoretical powder X-ray diffraction pattern of Mg2Pd13 (DFT lattice parameters and positions (PBE); Cu Kα (λ = 1.5418 Å)).
Kinematic intensities with the Lorentz-polarization factor, no thermal factor.

Unit cell a=4.8643 b=6.8577 c=7.3890 alpha=71.70 beta=83.55 gamma=89.31
Element x y z (fractional)
Mg  0.0709  0.1434  0.1060
Mg  0.9291  0.8566  0.8940
Pd  0.0000  0.0000  0.5000
Pd  0.1359  0.2624  0.7042
Pd  0.1998  0.4043  0.2998
Pd  0.2689  0.5343  0.8990
Pd  0.3335  0.6697  0.5000
Pd  0.3902  0.8048  0.0994
Pd  0.4682  0.9336  0.7008
Pd  0.5318  0.0664  0.2992
Pd  0.6098  0.1952  0.9006
Pd  0.6665  0.3303  0.5000
Pd  0.7311  0.4657  0.1010
Pd  0.8002  0.5957  0.7002
Pd  0.8641  0.7376  0.2958

Top 8 peaks for 2θ = 10–90°, by intensity:
- 2θ 39.44, I 100
- 2θ 45.46, I 17
- 2θ 45.97, I 16
- 2θ 46.14, I 16
- 2θ 66.75, I 15
- 2θ 79.92, I 12
- 2θ 80.90, I 12
- 2θ 67.17, I 10



# 7
Structure and theoretical powder X-ray diffraction pattern of Tb12Y2Th (DFT lattice parameters and positions (PBE); Cu Kα (λ = 1.5418 Å)).
Kinematic intensities with the Lorentz-polarization factor, no thermal factor.

Unit cell a=6.6292 b=6.6292 c=24.4434 alpha=92.26 beta=92.26 gamma=114.89
Element x y z (fractional)
Tb  0.0501  0.5487  0.2016
Tb  0.0814  0.5835  0.3299
Tb  0.1354  0.6396  0.5555
Tb  0.1442  0.1442  0.5736
Tb  0.2160  0.2160  0.8627
Tb  0.2329  0.7325  0.9279
Tb  0.2675  0.7671  0.0721
Tb  0.2834  0.2834  0.1365
Tb  0.3594  0.3594  0.4239
Tb  0.3604  0.8646  0.4445
Tb  0.4165  0.9186  0.6701
Tb  0.4513  0.9499  0.7984
Tb  0.5487  0.0501  0.2016
Tb  0.5835  0.0814  0.3299
Tb  0.6396  0.1354  0.5555
Tb  0.6406  0.6406  0.5761
Tb  0.7166  0.7166  0.8635
Tb  0.7325  0.2329  0.9279
Tb  0.7671  0.2675  0.0721
Tb  0.7840  0.7840  0.1373
Tb  0.8558  0.8558  0.4264
Tb  0.8646  0.3604  0.4445
Tb  0.9186  0.4165  0.6701
Tb  0.9499  0.4513  0.7984
Y  0.0686  0.0686  0.2723
Y  0.4335  0.4335  0.7282
Y  0.5665  0.5665  0.2718
Y  0.9314  0.9314  0.7277
Th  0.2495  0.2495  0.9998
Th  0.7505  0.7505  0.0002

Top 8 peaks for 2θ = 10–90°, by intensity:
- 2θ 30.24, I 100
- 2θ 32.04, I 70
- 2θ 31.13, I 53
- 2θ 32.43, I 48
- 2θ 33.50, I 41
- 2θ 32.21, I 35
- 2θ 46.07, I 26
- 2θ 59.74, I 23



# 8
Structure and theoretical powder X-ray diffraction pattern of TbCd11Ag (DFT lattice parameters and positions (PBE); Cu Kα (λ = 1.5418 Å)).
Kinematic intensities with the Lorentz-polarization factor, no thermal factor.

Unit cell a=7.6268 b=7.6268 c=7.6129 alpha=98.57 beta=98.57 gamma=134.59
Element x y z (fractional)
Tb  0.0000  0.0000  0.0000
Cd  0.0000  0.0000  0.5000
Cd  0.0000  0.5000  0.0000
Cd  0.0082  0.3546  0.3522
Cd  0.2940  0.5044  0.7863
Cd  0.3546  0.0082  0.3522
Cd  0.4956  0.7060  0.2137
Cd  0.5000  0.0000  0.0000
Cd  0.5044  0.2940  0.7863
Cd  0.6454  0.9918  0.6478
Cd  0.7060  0.4956  0.2137
Cd  0.9918  0.6454  0.6478
Ag  0.5000  0.5000  0.5000

Top 8 peaks for 2θ = 10–90°, by intensity:
- 2θ 35.97, I 100
- 2θ 35.44, I 76
- 2θ 39.95, I 62
- 2θ 36.14, I 60
- 2θ 30.97, I 48
- 2θ 40.59, I 32
- 2θ 64.54, I 30
- 2θ 57.66, I 24